Simulated powder diffractogram of ErZrTa for Cu Kα (weighted mean of Kα1 and Kα2), from a PBE-relaxed structure.
Kinematic intensities with the Lorentz-polarization factor, no thermal factor.

Principal peaks in the range 2θ from 10° to 80°, sorted by position:
| d [Å] | 2theta | Rel. int. |
| --- | --- | --- |
| 3.775 | 23.57 | 23 |
| 3.484 | 25.57 | 55 |
| 3.251 | 27.43 | 29 |
| 2.641 | 33.95 | 100 |
| 2.560 | 35.05 | 67 |
| 2.377 | 37.85 | 34 |
| 2.273 | 39.66 | 73 |
| 2.164 | 41.74 | 39 |
| 1.626 | 56.62 | 37 |
| 1.434 | 65.02 | 22 |

Cell: 7.924 7.529 4.732 Å, 76.79 67.67 35.55°
Positions (direct):
Er (0.250, 0.250, 0.250)
Er (0.750, 0.750, 0.750)
Zr (0.095, 0.095, 0.905)
Zr (0.905, 0.905, 0.095)
Ta (0.333, 0.667, 0.333)
Ta (0.667, 0.333, 0.667)